Theoretical XRD peak list of Na5Mn2P2C2O14 for Cu Kα, 1.54184 Å, from a crystal structure in the Materials Project, relaxed with PBE+U.
Kinematic intensities with the Lorentz-polarization factor, no thermal factor.

Structural model:
```
Na5Mn2P2C2O14
1.0
8.462 0.000 0.000
-1.941 8.256 0.000
-0.098 -0.129 9.012
Na Mn P C O
10 4 4 4 28
Direct
0.113 0.111 0.266
0.135 0.645 0.753
0.259 0.509 0.420
0.370 0.363 0.756
0.385 0.887 0.262
0.615 0.113 0.738
0.630 0.637 0.244
0.741 0.491 0.580
0.865 0.355 0.247
0.887 0.889 0.734
0.016 0.765 0.144
0.486 0.735 0.858
0.514 0.265 0.142
0.984 0.235 0.856
0.224 0.475 0.081
0.273 0.024 0.923
0.727 0.976 0.077
0.776 0.525 0.919
0.017 0.269 0.568
0.495 0.248 0.433
0.505 0.752 0.567
0.983 0.731 0.432
0.020 0.276 0.426
0.074 0.327 0.057
0.092 0.839 0.361
0.119 0.372 0.650
0.136 0.078 0.834
0.169 0.608 0.176
0.214 0.964 0.079
0.289 0.538 0.929
0.326 0.889 0.833
0.355 0.422 0.177
0.390 0.144 0.355
0.398 0.646 0.641
0.421 0.173 0.941
0.499 0.256 0.575
0.501 0.744 0.425
0.579 0.827 0.059
0.602 0.354 0.359
0.610 0.856 0.645
0.645 0.578 0.823
0.674 0.111 0.167
0.711 0.462 0.071
0.786 0.036 0.921
0.831 0.392 0.824
0.864 0.922 0.166
0.881 0.628 0.350
0.908 0.161 0.639
0.926 0.673 0.943
0.980 0.724 0.574
```

Top 10 peaks for 2θ from 15° to 90°, in order of rising 2θ:
index  2θ (°)  I_rel
1 -1 1  16.6  43
2 0 1  23.9  25
1 1 -2  25.8  50
2 -2 0  26.9  76
-3 1 1  33.3  45
2 -2 2  33.5  88
2 2 0  34.1  100
2 -2 4  48.8  26
-2 2 4  48.9  26
4 -4 0  55.3  34